Diffraction record for LiVF4. The PXRD pattern is computed, not measured: it uses a GGA+U-relaxed structure and Cu Kα (λ = 1.5418 Å).

The 10 most intense peaks (10 to 80 degrees two-theta), sorted by position:
| h k l | d/Å | I (rel.) |
| --- | --- | --- |
| 0 2 0 | 5.830 | 44 |
| 0 2 1 | 3.775 | 46 |
| 1 1 1 | 3.233 | 100 |
| 1 3 0 | 2.964 | 36 |
| 1 4 1 | 2.203 | 58 |
| 1 0 2 | 2.179 | 29 |
| 1 3 2 | 1.901 | 23 |
| 2 4 1 | 1.693 | 44 |
| 2 0 2 | 1.682 | 22 |
| 0 4 3 | 1.437 | 22 |

Structure:
Lattice parameters (Å, degrees): 4.5841 11.6596 4.9539 90.00 90.00 90.00
Space group Pbcn (No. 60)
Asymmetric unit:
Li  0.0000  0.0538  0.2500 (multiplicity 4)
V  0.0000  0.3208  0.2500 (multiplicity 4)
F  0.2305  0.1917  0.0812 (multiplicity 8)
F  0.2488  0.0682  0.5859 (multiplicity 8)